For MoP2PbO8, a PBE+U-relaxed structure gives the calculated powder X-ray diffraction pattern in this record (Cu Kα (weighted mean of Kα1 and Kα2)).

Top 10 peaks for 10 to 90 degrees two-theta, in order of falling intensity:
(hkl), d (Å), 2θ (°), I_rel
4 0 0, 3.535, 25.2, 100
0 4 0, 3.623, 24.6, 95
4 4 0, 2.530, 35.5, 46
2 2 1, 3.742, 23.8, 45
2 2 -1, 4.318, 20.6, 44
1 1 -3, 2.194, 41.1, 26
0 2 1, 4.850, 18.3, 25
1 1 -2, 3.249, 27.5, 24
1 1 2, 2.981, 30.0, 23
1 3 -1, 3.867, 23.0, 23

Structural model:
```
data_MoP2PbO8
_chemical_formula_sum 'Mo8 P16 Pb8 O64'
_symmetry_space_group_name_H-M 'C 1 2/c 1'
_symmetry_Int_Tables_number 15
_cell_length_a 14.448
_cell_length_b 14.491
_cell_length_c 6.670
_cell_angle_alpha 90.00
_cell_angle_beta 101.85
_cell_angle_gamma 90.00
loop_
_symmetry_equiv_pos_as_xyz
'x,y,z'
'-x,-y,-z'
'-x,y,-z+1/2'
'x,-y,z+1/2'
'x+1/2,y+1/2,z'
'-x+1/2,-y+1/2,-z'
'-x+1/2,y+1/2,-z+1/2'
'x+1/2,-y+1/2,z+1/2'
loop_
_atom_site_label
_atom_site_fract_x
_atom_site_fract_y
_atom_site_fract_z
Mo1 0.134 0.142 0.315
P1 0.111 0.096 0.803
P2 0.129 0.366 0.466
Pb1 0.123 0.385 0.960
O1 0.000 0.078 0.750
O2 0.000 0.130 0.250
O3 0.047 0.366 0.584
O4 0.122 0.285 0.308
O5 0.129 0.455 0.339
O6 0.137 0.154 0.999
O7 0.138 0.151 0.628
O8 0.156 0.001 0.828
O9 0.220 0.352 0.637
```